# LaPr2Sm
Theoretical powder diffraction line list, copper Kα. Input: a DFT-relaxed cell (GGA-PBE, Alexandria).

Structural model:
```
data_LaPr2Sm
_space_group_name_H-M_alt 'F m -3 m'
_space_group_IT_number 225
_space_group_name_Hall '-F 4 2 3'
_cell_length_a 8.325
_cell_length_b 8.325
_cell_length_c 8.325
_cell_angle_alpha 90.00
_cell_angle_beta 90.00
_cell_angle_gamma 90.00
loop_
_atom_site_label
_atom_site_type_symbol
_atom_site_fract_x
_atom_site_fract_y
_atom_site_fract_z
_atom_site_occupancy
La1 La 0.000 0.000 0.000 1
Pr1 Pr 0.250 0.250 0.250 1
Sm1 Sm 0.000 0.000 0.500 1
```

Principal peaks in the range 2θ = 10–90°, in order of rising 2θ:
d [Å]  two_theta  I_rel  h k l
2.943  30.4  100  2 2 0
2.081  43.5  19  4 0 0
1.699  54.0  40  4 2 2
1.472  63.2  12  4 4 0
1.316  71.7  17  6 2 0
1.113  87.7  20  6 4 2

# LaPr5Sm6
Theoretical powder diffraction line list, copper Kα. Input: a DFT-relaxed cell (GGA-PBE, Alexandria).

Structural model:
```
data_LaPr5Sm6
_space_group_name_H-M_alt 'C 1 2/m 1'
_space_group_IT_number 12
_space_group_name_Hall '-C 2y'
_cell_length_a 6.382
_cell_length_b 11.063
_cell_length_c 12.133
_cell_angle_alpha 90.00
_cell_angle_beta 100.13
_cell_angle_gamma 90.00
loop_
_atom_site_label
_atom_site_type_symbol
_atom_site_fract_x
_atom_site_fract_y
_atom_site_fract_z
_atom_site_occupancy
La1 La 0.000 0.000 0.000 1
Pr1 Pr 0.000 0.167 0.500 1
Pr2 Pr 0.000 0.333 0.000 1
Pr3 Pr 0.000 0.500 0.500 1
Sm1 Sm 0.249 0.500 0.250 1
Sm2 Sm 0.250 0.167 0.250 1
```

Principal peaks in the range 2θ = 10–90°, in order of rising 2θ:
d [Å]  two_theta  I_rel  h k l
3.007  29.7  100  1 3 1
2.986  29.9  33  0 0 4
2.600  34.5  67  2 0 2
1.843  49.5  24  0 6 0
1.833  49.7  24  1 3 5
1.568  58.9  29  3 3 3

# La5Pr7Sm
Theoretical powder diffraction line list, copper Kα. Input: a DFT-relaxed cell (GGA-PBE, Alexandria).

Structural model:
```
data_La5Pr7Sm
_space_group_name_H-M_alt 'I m m 2'
_space_group_IT_number 44
_space_group_name_Hall 'I 2 -2'
_cell_length_a 6.995
_cell_length_b 11.213
_cell_length_c 12.216
_cell_angle_alpha 90.00
_cell_angle_beta 90.00
_cell_angle_gamma 90.00
loop_
_atom_site_label
_atom_site_type_symbol
_atom_site_fract_x
_atom_site_fract_y
_atom_site_fract_z
_atom_site_occupancy
La1 La 0.000 0.000 0.000 1
La2 La 0.223 0.280 0.548 1
Pr1 Pr 0.000 0.000 0.522 1
Pr2 Pr 0.000 0.169 0.284 1
Pr3 Pr 0.000 0.180 0.785 1
Pr4 Pr 0.000 0.500 0.038 1
Pr5 Pr 0.000 0.500 0.336 1
Sm1 Sm 0.000 0.500 0.741 1
```

Principal peaks in the range 2θ = 10–90°, in order of rising 2θ:
d [Å]  two_theta  I_rel  h k l
3.297  27.0  32  1 3 0
3.054  29.2  73  0 0 4
3.035  29.4  51  2 0 2
2.967  30.1  42  2 2 0
2.901  30.8  100  1 3 2
2.669  33.6  79  2 2 2

# La4PrSm5
Theoretical powder diffraction line list, copper Kα. Input: a DFT-relaxed cell (GGA-PBE, Alexandria).

Structural model:
```
data_La4PrSm5
_space_group_name_H-M_alt 'P 4/n m m'
_space_group_IT_number 129
_cell_length_a 10.670
_cell_length_b 10.670
_cell_length_c 6.126
_cell_angle_alpha 90.00
_cell_angle_beta 90.00
_cell_angle_gamma 90.00
loop_
_space_group_symop_operation_xyz
'x,y,z'
'-x,-y,-z'
'-y+1/2,x,z'
'y+1/2,-x,-z'
'-x+1/2,-y+1/2,z'
'x+1/2,y+1/2,-z'
'y,-x+1/2,z'
'-y,x+1/2,-z'
'x+1/2,-y,-z'
'-x+1/2,y,z'
'-y,-x,-z'
'y,x,z'
'-x,y+1/2,-z'
'x,-y+1/2,z'
'y+1/2,x+1/2,-z'
'-y+1/2,-x+1/2,z'
loop_
_atom_site_label
_atom_site_type_symbol
_atom_site_fract_x
_atom_site_fract_y
_atom_site_fract_z
_atom_site_occupancy
La1 La 0.049 0.750 0.131 1
Pr1 Pr 0.250 0.250 0.843 1
Sm1 Sm 0.089 0.089 0.344 1
Sm2 Sm 0.250 0.750 0.500 1
```

Principal peaks in the range 2θ = 10–90°, in order of rising 2θ:
d [Å]  two_theta  I_rel  h k l
3.212  27.8  23  2 2 1
3.076  29.0  100  3 0 1
2.956  30.2  46  3 1 1
2.944  30.4  35  1 0 2
2.515  35.7  32  3 3 0
1.751  52.2  31  4 3 2

# La4Pr5Sm
Theoretical powder diffraction line list, copper Kα. Input: a DFT-relaxed cell (GGA-PBE, Alexandria).

Structural model:
```
data_La4Pr5Sm
_space_group_name_H-M_alt 'P 4/n m m'
_space_group_IT_number 129
_cell_length_a 10.792
_cell_length_b 10.792
_cell_length_c 6.140
_cell_angle_alpha 90.00
_cell_angle_beta 90.00
_cell_angle_gamma 90.00
loop_
_space_group_symop_operation_xyz
'x,y,z'
'-x,-y,-z'
'-y+1/2,x,z'
'y+1/2,-x,-z'
'-x+1/2,-y+1/2,z'
'x+1/2,y+1/2,-z'
'y,-x+1/2,z'
'-y,x+1/2,-z'
'x+1/2,-y,-z'
'-x+1/2,y,z'
'-y,-x,-z'
'y,x,z'
'-x,y+1/2,-z'
'x,-y+1/2,z'
'y+1/2,x+1/2,-z'
'-y+1/2,-x+1/2,z'
loop_
_atom_site_label
_atom_site_type_symbol
_atom_site_fract_x
_atom_site_fract_y
_atom_site_fract_z
_atom_site_occupancy
La1 La 0.049 0.750 0.130 1
Pr1 Pr 0.090 0.090 0.345 1
Pr2 Pr 0.250 0.750 0.500 1
Sm1 Sm 0.250 0.250 0.829 1
```

Principal peaks in the range 2θ = 10–90°, in order of rising 2θ:
d [Å]  two_theta  I_rel  h k l
3.241  27.5  23  2 2 1
3.104  28.8  100  3 0 1
2.983  30.0  44  3 1 1
2.953  30.3  34  1 0 2
2.544  35.3  32  3 3 0
1.766  51.8  27  4 3 2

# La9Pr2Sm3
Theoretical powder diffraction line list, copper Kα. Input: a DFT-relaxed cell (GGA-PBE, Alexandria).

Structural model:
```
data_La9Pr2Sm3
_space_group_name_H-M_alt 'P 63/m'
_space_group_IT_number 176
_space_group_name_Hall '-P 6c'
_cell_length_a 9.1575
_cell_length_b 9.1575
_cell_length_c 14.0486
_cell_angle_alpha 90.00
_cell_angle_beta 90.00
_cell_angle_gamma 120.00
loop_
_atom_site_label
_atom_site_type_symbol
_atom_site_fract_x
_atom_site_fract_y
_atom_site_fract_z
_atom_site_occupancy
La1 La 0.0793 0.5391 0.2500 1
La2 La 0.1297 0.7572 0.0416 1
Pr1 Pr 0.3333 0.6667 0.6343 1
Sm1 Sm 0.1103 0.8606 0.7500 1
```

Principal peaks in the range 2θ = 10–90°, in order of rising 2θ:
d [Å]  two_theta  I_rel  h k l
3.512  25.4  33  0 0 4
3.453  25.8  32  2 0 2
3.026  29.5  100  2 0 3
2.932  30.5  90  1 2 1
2.757  32.5  74  2 1 2
1.732  52.9  37  1 3 5